# 1
Structure and simulated powder diffraction line list of AsIrAuC2 (DFT lattice parameters and positions (GGA-PBE); Cu Kα).
No peak broadening, texture or thermal motion is included.

Crystal structure
```
5
Lattice="3.8037 -1.5120 0.0000 3.8037 1.5120 0.0000 -3.1449 0.0000 6.6446" Properties=species:S:1:pos:R:3 pbc="T T T"
As 0.0000 0.0000 0.0000
Ir -1.1198 0.0000 5.1512
Au 4.0518 0.0000 2.1708
C 0.4867 0.0000 3.6677
C 1.7027 0.0000 4.3547
```

Top 6 peaks for 10 to 90 degrees two-theta, by intensity:
d 2.412, rel. 100.0; d 3.438, rel. 67.7; d 3.158, rel. 64.0; d 2.727, rel. 61.9; d 3.322, rel. 44.8; d 1.896, rel. 37.1

# 2
Structure and simulated powder diffraction line list of Be2Tl2HgI6 (DFT lattice parameters and positions (GGA-PBE); Cu Kα).
No peak broadening, texture or thermal motion is included.

Crystal structure
```
11
Lattice="8.1105 0.0000 0.0000 1.7920 8.2254 0.0000 1.1558 4.0162 7.5774" Properties=species:S:1:pos:R:3 pbc="T T T"
Be 1.6265 4.6219 1.9611
Be 9.4318 7.6198 5.6163
Tl 2.6728 2.8818 5.3621
Tl 8.3855 9.3598 2.2153
Hg 4.0553 0.0000 0.0000
I 1.9165 6.0413 7.2223
I 2.9350 8.1284 4.0133
I 3.8146 3.9403 2.2312
I 7.2437 8.3013 5.3461
I 8.1233 4.1132 3.5640
I 9.1418 6.2003 0.3551
```

Top 6 peaks for 10 to 90 degrees two-theta, by intensity:
d 3.560, rel. 100.0; d 3.936, rel. 71.5; d 2.656, rel. 41.4; d 7.268, rel. 37.0; d 3.368, rel. 36.8; d 2.478, rel. 31.4

# 3
Structure and simulated powder diffraction line list of Na2Ag2Te3 (DFT lattice parameters and positions (GGA-PBE); Cu Kα).
No peak broadening, texture or thermal motion is included.

Crystal structure
```
14
Lattice="2.3567 -12.5269 0.0000 2.3567 12.5269 0.0000 0.0000 0.0000 6.6886" Properties=species:S:1:pos:R:3 pbc="T T T"
Na 2.3567 12.0393 5.0164
Na 2.3567 8.9336 1.6721
Na 2.3567 -8.9336 5.0164
Na 2.3567 -12.0393 1.6721
Ag 2.3567 4.7089 0.2276
Ag 2.3567 4.7089 3.1167
Ag 2.3567 -4.7089 3.5719
Ag 2.3567 -4.7089 6.4610
Te 2.3567 6.7985 5.0164
Te 2.3567 1.9613 3.4381
Te 2.3567 1.9613 6.5947
Te 2.3567 -1.9613 0.0938
Te 2.3567 -1.9613 3.2505
Te 2.3567 -6.7985 1.6721
```

Top 6 peaks for 10 to 90 degrees two-theta, by intensity:
d 2.711, rel. 100.0; d 4.632, rel. 98.4; d 2.169, rel. 60.4; d 2.357, rel. 57.3; d 2.286, rel. 53.9; d 2.051, rel. 49.4

# 4
Structure and simulated powder diffraction line list of LaNd4Sm7 (DFT lattice parameters and positions (GGA-PBE); Cu Kα).
No peak broadening, texture or thermal motion is included.

Crystal structure
```
12
Lattice="6.3911 0.0000 0.0000 -0.0017 7.3622 0.0000 -2.1395 -0.0029 8.8702" Properties=species:S:1:pos:R:3 pbc="T T T"
La 0.0000 0.0000 0.0000
Nd -0.0189 3.6810 5.9247
Nd 1.0708 5.5230 2.9567
Nd 3.1791 1.8363 5.9134
Nd 4.2688 3.6784 2.9455
Sm -0.0008 3.6811 0.0000
Sm -0.0176 7.3603 5.9219
Sm 1.0704 1.8380 2.9494
Sm 3.1940 1.8410 0.0029
Sm 1.0559 5.5183 8.8672
Sm 3.1795 5.5213 5.9208
Sm 4.2676 -0.0009 2.9483
```

Top 6 peaks for 10 to 90 degrees two-theta, by intensity:
d 2.878, rel. 100.0; d 2.737, rel. 86.0; d 2.957, rel. 50.0; d 1.843, rel. 38.2; d 3.169, rel. 36.1; d 1.565, rel. 30.0

# 5
Structure and simulated powder diffraction line list of Sr3Ac3MgO8 (DFT lattice parameters and positions (GGA-PBE); Cu Kα).
No peak broadening, texture or thermal motion is included.

Crystal structure
```
15
Lattice="3.6317 2.0968 6.0509 -3.6317 2.0968 6.0509 0.0000 -4.1936 6.0509" Properties=species:S:1:pos:R:3 pbc="T T T"
Sr -1.8159 -1.0484 6.0509
Sr -1.8159 1.0484 12.1018
Sr 0.0000 2.0968 6.0509
Ac -3.6317 0.0000 9.0764
Ac -1.8159 1.0484 3.0254
Ac 1.8159 1.0484 3.0255
Mg 0.0000 0.0000 9.0764
O 0.0000 0.0000 4.6141
O -1.6178 -0.9341 10.3622
O 0.0000 -1.8681 7.7905
O -1.6178 0.9341 7.7905
O 1.6178 -0.9341 10.3622
O 0.0000 1.8681 10.3622
O 1.6178 0.9341 7.7905
O 0.0000 0.0000 13.5386
```

Top 6 peaks for 10 to 90 degrees two-theta, by intensity:
d 2.585, rel. 100.0; d 2.972, rel. 84.3; d 6.051, rel. 43.6; d 5.170, rel. 37.5; d 1.840, rel. 35.0; d 1.816, rel. 34.0